1.
This entry pairs a crystal structure of LaV2H8 with its calculated PXRD pattern. Radiation: Cu Kα (λ = 1.5418 Å). Structure: a structure optimized by DFT (GGA-PBE).

Cell and atoms:
Lattice parameters (Å, degrees): 4.5480 4.5480 4.9158 90.00 90.00 120.00
Fractional positions:
La 0.0000 0.0000 0.0000
V 0.3333 0.6667 0.4834
V 0.6667 0.3333 0.4834
H 0.0000 0.4601 0.7287
H 0.0000 0.7456 0.4092
H 0.2544 0.2544 0.4092
H 0.3333 0.6667 0.1267
H 0.4601 0.0000 0.7287
H 0.5399 0.5399 0.7287
H 0.6667 0.3333 0.1267
H 0.7456 0.0000 0.4092

Most intense lines, 10 to 80 degrees two-theta, in order of rising 2θ:
Position (°2θ)  Rel. int.  hkl
22.6  18.9  1 0 0
29.1  100.0  1 0 1
36.6  14.3  0 0 2
39.6  35.1  1 1 0
43.4  8.0  1 0 2
49.9  22.1  2 0 1
55.0  25.7  2 -1 2
61.3  11.5  1 0 3
65.5  19.0  2 1 1
75.5  6.2  2 0 3

2.
This entry pairs a crystal structure of La3YH8 with its calculated PXRD pattern. Radiation: Cu Kα (λ = 1.5418 Å). Structure: a structure optimized by DFT (GGA-PBE).

Cell and atoms:
Lattice parameters (Å, degrees): 5.5201 5.5201 5.5201 90.00 90.00 90.00
Fractional positions:
La 0.0000 0.0000 0.5000
La 0.0000 0.5000 0.0000
La 0.5000 0.0000 0.0000
Y 0.5000 0.5000 0.5000
H 0.2616 0.2616 0.2616
H 0.2616 0.2616 0.7384
H 0.2616 0.7384 0.2616
H 0.2616 0.7384 0.7384
H 0.7384 0.2616 0.2616
H 0.7384 0.2616 0.7384
H 0.7384 0.7384 0.2616
H 0.7384 0.7384 0.7384

Most intense lines, 10 to 80 degrees two-theta, in order of rising 2θ:
Position (°2θ)  Rel. int.  hkl
16.1  2.1  1 0 0
22.8  2.0  1 1 0
28.0  100.0  1 1 1
32.4  48.5  2 0 0
46.5  38.3  2 2 0
55.2  44.4  3 1 1
57.9  12.5  2 2 2
67.9  6.0  4 0 0
75.0  17.7  3 3 1
77.3  16.0  4 2 0